(1)
Computed XRD peak list of Ce3Ga2Pd4 for a wavelength of 1.5418 Å, from a cell relaxed with GGA-PBE.
Peak positions follow from Bragg's law for the DFT cell and can differ from measured ones.

Top 10 peaks for 10 to 90 degrees two-theta, most intense first:
35.5 deg, I = 100
38.9 deg, I = 93
34.6 deg, I = 71
39.9 deg, I = 54
54.5 deg, I = 31
33.9 deg, I = 28
31.9 deg, I = 26
53.3 deg, I = 18
71.8 deg, I = 15
70.3 deg, I = 14

Atomic structure:
Cell: 5.8377 5.8377 8.6145 Å, 115.95 115.95 45.55°
Fractional coordinates of all 9 atoms:
Ce (0.0000, 0.0000, 0.0000)
Ce (0.3607, 0.3607, 0.3200)
Ce (0.6393, 0.6393, 0.6800)
Ga (0.3459, 0.3459, 0.6778)
Ga (0.6541, 0.6541, 0.3222)
Pd (0.0772, 0.0772, 0.3994)
Pd (0.2803, 0.2803, 0.9274)
Pd (0.7197, 0.7197, 0.0726)
Pd (0.9228, 0.9228, 0.6006)

(2)
Computed XRD peak list of CeGa3Pd10 for a wavelength of 1.5418 Å, from a cell relaxed with GGA-PBE.
Peak positions follow from Bragg's law for the DFT cell and can differ from measured ones.

Top 10 peaks for 10 to 90 degrees two-theta, most intense first:
37.5 deg, I = 100
42.9 deg, I = 55
40.9 deg, I = 50
48.4 deg, I = 37
74.6 deg, I = 30
32.1 deg, I = 29
63.3 deg, I = 23
35.3 deg, I = 17
68.6 deg, I = 15
43.5 deg, I = 15

Atomic structure:
Cell: 8.8169 8.8169 8.8169 Å, 60.00 60.00 60.00°
Fractional coordinates of all 28 atoms:
Ce (0.2500, 0.2500, 0.2500)
Ce (0.7500, 0.7500, 0.7500)
Ga (0.2296, 0.2296, 0.7704)
Ga (0.2296, 0.7704, 0.2296)
Ga (0.2296, 0.7704, 0.7704)
Ga (0.7704, 0.2296, 0.2296)
Ga (0.7704, 0.2296, 0.7704)
Ga (0.7704, 0.7704, 0.2296)
Pd (0.1215, 0.1215, 0.1215)
Pd (0.1215, 0.1215, 0.6354)
Pd (0.1215, 0.6354, 0.1215)
Pd (0.1539, 0.5000, 0.5000)
Pd (0.1539, 0.5000, 0.8461)
Pd (0.1539, 0.8461, 0.5000)
Pd (0.3646, 0.8785, 0.8785)
Pd (0.5000, 0.1539, 0.5000)
Pd (0.5000, 0.1539, 0.8461)
Pd (0.5000, 0.5000, 0.1539)
Pd (0.5000, 0.5000, 0.8461)
Pd (0.5000, 0.8461, 0.1539)
Pd (0.5000, 0.8461, 0.5000)
Pd (0.6354, 0.1215, 0.1215)
Pd (0.8461, 0.1539, 0.5000)
Pd (0.8461, 0.5000, 0.1539)
Pd (0.8461, 0.5000, 0.5000)
Pd (0.8785, 0.3646, 0.8785)
Pd (0.8785, 0.8785, 0.3646)
Pd (0.8785, 0.8785, 0.8785)

(3)
Computed XRD peak list of CeGa2Pd4 for a wavelength of 1.5418 Å, from a cell relaxed with GGA-PBE.
Peak positions follow from Bragg's law for the DFT cell and can differ from measured ones.

Top 10 peaks for 10 to 90 degrees two-theta, most intense first:
33.9 deg, I = 100
42.8 deg, I = 52
36.1 deg, I = 43
39.4 deg, I = 41
45.3 deg, I = 30
47.6 deg, I = 24
63.5 deg, I = 23
59.2 deg, I = 20
67.8 deg, I = 16
76.2 deg, I = 9

Atomic structure:
Cell: 7.8726 7.8726 4.0077 Å, 90.00 90.00 90.00°
Fractional coordinates of all 14 atoms:
Ce (0.0000, 0.0000, 0.0000)
Ce (0.5000, 0.5000, 0.5000)
Ga (0.2206, 0.2206, 0.5000)
Ga (0.2794, 0.7206, 0.0000)
Ga (0.7206, 0.2794, 0.0000)
Ga (0.7794, 0.7794, 0.5000)
Pd (0.0836, 0.6659, 0.5000)
Pd (0.1659, 0.4164, 0.0000)
Pd (0.3341, 0.9164, 0.5000)
Pd (0.4164, 0.1659, 0.0000)
Pd (0.5836, 0.8341, 0.0000)
Pd (0.6659, 0.0836, 0.5000)
Pd (0.8341, 0.5836, 0.0000)
Pd (0.9164, 0.3341, 0.5000)